Diffraction record for CsPd2F5. The powder diffraction line list is computed, not measured: it uses a structure optimized by DFT (PBE) and Cu Kα.
Lines closer than 0.1° are merged.

Principal peaks in the range 10 to 90 degrees two-theta, by intensity:
2θ (°), I_rel, (hkl)
30.1, 100, 2 1 1
27.3, 90, 1 2 1
27.7, 78, 0 2 2
48.6, 78, 2 2 4
26.8, 60, 0 1 3
31.3, 52, 2 0 2
23.7, 42, 1 1 2
42.1, 33, 0 3 3
56.4, 24, 2 4 2
47.4, 20, 3 2 1

Structure:
```
data_CsPd2F5
_symmetry_space_group_name_H-M 'I m m a'
_symmetry_Int_Tables_number 74
_symmetry_space_group_name_Hall '-I 2b 2'
_cell_length_a 6.698
_cell_length_b 7.943
_cell_length_c 10.999
_cell_angle_alpha 90.00
_cell_angle_beta 90.00
_cell_angle_gamma 90.00
loop_
_atom_site_label
_atom_site_type_symbol
_atom_site_fract_x
_atom_site_fract_y
_atom_site_fract_z
Cs1 Cs 0.000 0.250 0.112
Pd1 Pd 0.000 0.000 0.500
Pd2 Pd 0.250 0.250 0.750
F1 F 0.000 0.250 0.413
F2 F 0.249 0.072 0.621
```

Diffraction record for Cd7GeN6. The powder diffraction line list is computed, not measured: it uses a structure optimized by DFT (PBE) and Cu Kα.
Lines closer than 0.1° are merged.

Principal peaks in the range 10 to 90 degrees two-theta, by intensity:
2θ (°), I_rel, (hkl)
31.3, 100, 2 0 4
34.9, 38, 4 0 0
43.8, 33, 2 2 4
35.2, 31, 2 2 1
36.0, 31, 3 1 3
29.8, 29, 0 2 0
37.0, 29, 2 2 2
35.8, 20, 0 2 3
53.4, 12, 0 0 8
50.9, 12, 4 2 3

Structure:
```
data_Cd7GeN6
_symmetry_space_group_name_H-M 'C m c m'
_symmetry_Int_Tables_number 63
_symmetry_space_group_name_Hall '-C 2c 2'
_cell_length_a 10.271
_cell_length_b 6.005
_cell_length_c 13.741
_cell_angle_alpha 90.00
_cell_angle_beta 90.00
_cell_angle_gamma 90.00
loop_
_atom_site_label
_atom_site_type_symbol
_atom_site_fract_x
_atom_site_fract_y
_atom_site_fract_z
Cd1 Cd 0.000 0.101 0.250
Cd2 Cd 0.000 0.246 0.532
Cd3 Cd 0.220 0.300 0.119
Ge1 Ge 0.000 0.386 0.750
N1 N 0.000 0.428 0.137
N2 N 0.145 0.191 0.750
N3 N 0.169 0.000 0.000
```

Diffraction record for V4GeSe8. The powder diffraction line list is computed, not measured: it uses a structure optimized by DFT (PBE) and Cu Kα.
Lines closer than 0.1° are merged.

Principal peaks in the range 10 to 90 degrees two-theta, by intensity:
2θ (°), I_rel, (hkl)
35.1, 100, 0 2 4
30.2, 60, 2 0 2
50.2, 46, 2 2 0
50.9, 43, 2 0 8
30.7, 23, 0 0 6
60.0, 20, 2 2 6
43.3, 17, 2 1 4
62.7, 13, 4 0 4
28.9, 11, 1 1 3
74.2, 10, 0 4 8

Structure:
```
data_V4GeSe8
_symmetry_space_group_name_H-M 'R 3 m'
_symmetry_Int_Tables_number 160
_symmetry_space_group_name_Hall 'R 3 -2"'
_cell_length_a 7.2761
_cell_length_b 7.2761
_cell_length_c 17.4812
_cell_angle_alpha 90.00
_cell_angle_beta 90.00
_cell_angle_gamma 120.00
loop_
_atom_site_label
_atom_site_type_symbol
_atom_site_fract_x
_atom_site_fract_y
_atom_site_fract_z
V1 V 0.0000 0.0000 0.0000
V2 V 0.1955 0.3910 0.7924
Ge1 Ge 0.0000 0.0000 0.5903
Se1 Se 0.0000 0.0000 0.2231
Se2 Se 0.0000 0.0000 0.7311
Se3 Se 0.1776 0.3553 0.0523
Se4 Se 0.1863 0.3727 0.5489
```

Diffraction record for ErC3O8. The powder diffraction line list is computed, not measured: it uses a structure optimized by DFT (PBE) and Cu Kα.
Lines closer than 0.1° are merged.

Principal peaks in the range 10 to 90 degrees two-theta, by intensity:
2θ (°), I_rel, (hkl)
16.2, 100, 1 1 0
21.4, 46, 1 1 2
13.9, 41, 0 0 2
28.3, 25, 2 0 2
25.4, 24, 0 2 2
17.5, 23, 0 1 2
32.6, 18, 2 2 0
37.6, 15, 1 2 4
30.7, 14, 1 0 4
30.1, 14, 0 1 4

Structure:
```
data_ErC3O8
_symmetry_space_group_name_H-M 'P 21 21 21'
_symmetry_Int_Tables_number 19
_symmetry_space_group_name_Hall 'P 2ac 2ab'
_cell_length_a 7.240
_cell_length_b 8.397
_cell_length_c 12.704
_cell_angle_alpha 90.00
_cell_angle_beta 90.00
_cell_angle_gamma 90.00
loop_
_atom_site_label
_atom_site_type_symbol
_atom_site_fract_x
_atom_site_fract_y
_atom_site_fract_z
Er1 Er 0.235 0.028 0.201
C1 C 0.023 0.643 0.741
C2 C 0.047 0.226 0.401
C3 C 0.086 0.786 0.455
O1 O 0.010 0.701 0.396
O2 O 0.032 0.539 0.816
O3 O 0.044 0.847 0.133
O4 O 0.068 0.100 0.343
O5 O 0.119 0.228 0.492
O6 O 0.133 0.150 0.811
O7 O 0.160 0.734 0.719
O8 O 0.160 0.870 0.515
```

Diffraction record for Ru. The powder diffraction line list is computed, not measured: it uses a structure optimized by DFT (PBE) and Cu Kα.
Lines closer than 0.1° are merged.

Principal peaks in the range 10 to 90 degrees two-theta, by intensity:
2θ (°), I_rel, (hkl)
43.6, 100, 1 0 1
41.9, 25, 0 0 2
38.0, 25, 1 0 0
83.8, 19, 1 1 2
77.7, 18, 1 0 3
68.7, 17, 1 1 0
57.8, 14, 1 0 2
85.0, 14, 2 0 1
81.3, 3, 2 0 0

Structure:
```
data_Ru
_symmetry_space_group_name_H-M 'P 63/m m c'
_symmetry_Int_Tables_number 194
_symmetry_space_group_name_Hall '-P 6c 2c'
_cell_length_a 2.7329
_cell_length_b 2.7329
_cell_length_c 4.3139
_cell_angle_alpha 90.00
_cell_angle_beta 90.00
_cell_angle_gamma 120.00
loop_
_atom_site_label
_atom_site_type_symbol
_atom_site_fract_x
_atom_site_fract_y
_atom_site_fract_z
Ru1 Ru 0.3333 0.6667 0.2500
```

Diffraction record for Nb4FeP. The powder diffraction line list is computed, not measured: it uses a structure optimized by DFT (PBE) and Cu Kα.
Lines closer than 0.1° are merged.

Principal peaks in the range 10 to 90 degrees two-theta, by intensity:
2θ (°), I_rel, (hkl)
37.3, 100, 2 1 1
47.0, 25, 3 1 0
46.2, 22, 2 0 2
64.3, 19, 2 1 3
41.0, 17, 1 1 2
65.5, 16, 4 1 1
75.7, 15, 3 3 2
35.0, 15, 0 0 2
88.1, 9, 5 2 1
71.9, 8, 4 0 2

Structure:
```
data_Nb4FeP
_symmetry_space_group_name_H-M 'P 4/m c c'
_symmetry_Int_Tables_number 124
_symmetry_space_group_name_Hall '-P 4 2c'
_cell_length_a 6.116
_cell_length_b 6.116
_cell_length_c 5.121
_cell_angle_alpha 90.00
_cell_angle_beta 90.00
_cell_angle_gamma 90.00
loop_
_atom_site_label
_atom_site_type_symbol
_atom_site_fract_x
_atom_site_fract_y
_atom_site_fract_z
Nb1 Nb 0.160 0.334 0.000
Fe1 Fe 0.000 0.000 0.250
P1 P 0.500 0.500 0.250
```

Diffraction record for DyCo5. The powder diffraction line list is computed, not measured: it uses a structure optimized by DFT (PBE) and Cu Kα.
Lines closer than 0.1° are merged.

Principal peaks in the range 10 to 90 degrees two-theta, by intensity:
2θ (°), I_rel, (hkl)
43.3, 100, 1 1 1
30.9, 54, 1 0 1
42.4, 36, 2 0 0
36.5, 34, 1 1 0
46.0, 26, 0 0 2
70.5, 22, 3 0 1
64.3, 20, 2 0 2
60.1, 15, 1 1 2
77.6, 15, 2 2 0
62.3, 15, 2 1 1

Structure:
```
data_DyCo5
_symmetry_space_group_name_H-M 'P 6/m m m'
_symmetry_Int_Tables_number 191
_symmetry_space_group_name_Hall '-P 6 2'
_cell_length_a 4.9198
_cell_length_b 4.9198
_cell_length_c 3.9484
_cell_angle_alpha 90.00
_cell_angle_beta 90.00
_cell_angle_gamma 120.00
loop_
_atom_site_label
_atom_site_type_symbol
_atom_site_fract_x
_atom_site_fract_y
_atom_site_fract_z
Dy1 Dy 0.0000 0.0000 0.0000
Co1 Co 0.0000 0.5000 0.5000
Co2 Co 0.3333 0.6667 0.0000
```

Q: Number 7 is which compound?
A: DyCo5